This entry pairs a crystal structure of UB4H16 with its simulated powder diffraction line list. Radiation: Cu Ka. Structure: the PBE geometry in OQMD.

abc: 5.478 5.478 11.272
angles: 90.00 90.00 89.95
Element x y z (fractional)
U1 0.209 0.791 0.750
U2 0.791 0.209 0.250
B1 0.137 0.294 0.750
B2 0.275 0.725 0.534
B3 0.275 0.725 0.966
B4 0.294 0.137 0.250
B5 0.706 0.863 0.750
B6 0.725 0.275 0.034
B7 0.725 0.275 0.466
B8 0.863 0.706 0.250
H1 0.035 0.559 0.250
H2 0.063 0.678 0.568
H3 0.063 0.678 0.932
H4 0.125 0.171 0.659
H5 0.125 0.171 0.841
H6 0.171 0.125 0.159
H7 0.171 0.125 0.341
H8 0.307 0.693 0.069
H9 0.307 0.693 0.431
H10 0.322 0.937 0.568
H11 0.322 0.937 0.932
H12 0.338 0.398 0.750
H13 0.398 0.338 0.250
H14 0.405 0.595 0.600
H15 0.405 0.595 0.900
H16 0.441 0.965 0.250
H17 0.559 0.035 0.750
H18 0.595 0.405 0.100
H19 0.595 0.405 0.400
H20 0.602 0.662 0.750
H21 0.662 0.602 0.250
H22 0.678 0.063 0.068
H23 0.678 0.063 0.432
H24 0.693 0.307 0.569
H25 0.693 0.307 0.931
H26 0.829 0.875 0.659
H27 0.829 0.875 0.841
H28 0.875 0.829 0.159
H29 0.875 0.829 0.341
H30 0.937 0.322 0.068
H31 0.937 0.322 0.432
H32 0.965 0.441 0.750

Peak list (6 most intense, 2θ = 15–90°, by angle)
2θ = 15.72°, I 36.7; 2θ = 18.00°, I 100.0; 2θ = 22.96°, I 27.4; 2θ = 27.95°, I 22.3; 2θ = 28.81°, I 27.6; 2θ = 37.57°, I 26.6

=====

This entry pairs a crystal structure of HfMg2B6 with its simulated powder diffraction line list. Radiation: Cu Ka. Structure: the PBE geometry in OQMD.

abc: 9.147 11.363 3.605
angles: 90.00 90.00 90.00
Element x y z (fractional)
Hf1 0.141 0.179 0.000
Hf2 0.359 0.679 0.000
Hf3 0.641 0.321 0.000
Hf4 0.859 0.821 0.000
Mg1 0.052 0.620 0.000
Mg2 0.185 0.911 0.000
Mg3 0.315 0.411 0.000
Mg4 0.448 0.120 0.000
Mg5 0.552 0.880 0.000
Mg6 0.685 0.589 0.000
Mg7 0.815 0.089 0.000
Mg8 0.948 0.380 0.000
B1 0.025 0.789 0.500
B2 0.050 0.062 0.500
B3 0.092 0.474 0.500
B4 0.127 0.322 0.500
B5 0.202 0.741 0.500
B6 0.239 0.576 0.500
B7 0.261 0.076 0.500
B8 0.298 0.241 0.500
B9 0.373 0.822 0.500
B10 0.408 0.974 0.500
B11 0.450 0.562 0.500
B12 0.475 0.289 0.500
B13 0.525 0.711 0.500
B14 0.550 0.438 0.500
B15 0.592 0.026 0.500
B16 0.627 0.178 0.500
B17 0.702 0.759 0.500
B18 0.739 0.924 0.500
B19 0.761 0.424 0.500
B20 0.798 0.259 0.500
B21 0.873 0.678 0.500
B22 0.908 0.526 0.500
B23 0.950 0.938 0.500
B24 0.975 0.211 0.500

Peak list (6 most intense, 2θ = 15–90°, by angle)
2θ = 15.60°, I 50.9; 2θ = 18.38°, I 67.0; 2θ = 20.94°, I 100.0; 2θ = 24.70°, I 53.0; 2θ = 32.59°, I 61.3; 2θ = 41.67°, I 47.7

=====

This entry pairs a crystal structure of Na4HfB2 with its simulated powder diffraction line list. Radiation: Cu Ka. Structure: the PBE geometry in OQMD.

abc: 9.645 10.695 2.768
angles: 90.00 90.00 90.00
Element x y z (fractional)
Na1 0.000 0.215 0.000
Na2 0.000 0.785 0.000
Na3 0.194 0.000 0.500
Na4 0.306 0.500 0.500
Na5 0.500 0.285 0.000
Na6 0.500 0.715 0.000
Na7 0.694 0.500 0.500
Na8 0.806 0.000 0.500
Hf1 0.000 0.500 0.000
Hf2 0.500 0.000 0.000
B1 0.250 0.250 0.500
B2 0.250 0.750 0.500
B3 0.750 0.250 0.500
B4 0.750 0.750 0.500

Peak list (6 most intense, 2θ = 15–90°, by angle)
2θ = 16.58°, I 100.0; 2θ = 18.40°, I 87.0; 2θ = 26.66°, I 91.8; 2θ = 29.00°, I 90.2; 2θ = 34.75°, I 85.9; 2θ = 37.46°, I 81.4